This entry pairs a crystal structure of Tm2P4O13 with its simulated XRD peak list. Radiation: Cu Kα (λ = 1.5418 Å). Structure: DFT lattice parameters and positions (PBE).

Largest 10 diffraction maxima, by angle, 2θ from 10° to 80°:
(0 0 2), 2θ = 14.32°, intensity 51; (2 0 0), 2θ = 15.49°, intensity 65; (1 1 -2), 2θ = 19.41°, intensity 45; (2 0 2), 2θ = 23.97°, intensity 28; (0 2 0), 2θ = 26.44°, intensity 36; (3 1 0), 2θ = 26.86°, intensity 37; (3 1 -2), 2θ = 27.20°, intensity 20; (1 1 -4), 2θ = 30.76°, intensity 100; (5 1 0), 2θ = 41.68°, intensity 19; (3 3 -2), 2θ = 47.12°, intensity 17

```
data_Tm2P4O13
_cell_length_a 11.923
_cell_length_b 6.741
_cell_length_c 12.892
_cell_angle_alpha 90.00
_cell_angle_beta 106.32
_cell_angle_gamma 90.00
_symmetry_space_group_name_H-M 'C 1 2/c 1'
_symmetry_Int_Tables_number 15
loop_
_symmetry_equiv_pos_as_xyz
'x,y,z'
'-x,-y,-z'
'-x,y,-z+1/2'
'x,-y,z+1/2'
'x+1/2,y+1/2,z'
'-x+1/2,-y+1/2,-z'
'-x+1/2,y+1/2,-z+1/2'
'x+1/2,-y+1/2,z+1/2'
loop_
_atom_site_label
_atom_site_type_symbol
_atom_site_fract_x
_atom_site_fract_y
_atom_site_fract_z
Tm1 Tm 0.195 0.002 0.051
P1 P 0.012 0.349 0.867
P2 P 0.234 0.493 0.660
O1 O 0.000 0.252 0.750
O2 O 0.006 0.177 0.942
O3 O 0.097 0.494 0.653
O4 O 0.113 0.489 0.897
O5 O 0.199 0.006 0.222
O6 O 0.243 0.183 0.407
O7 O 0.249 0.175 0.905
```